Computed PXRD pattern
Compound: Ac3Zn3In4
Radiation: Cu Kα (λ = 1.5418 Å)
Structure: a structure optimized by DFT (GGA-PBE)

Crystal structure
a b c (Å): 10.4084 10.4084 10.4084
angles (deg): 90.00 90.00 90.00
Space group I-43d (No. 220)
Symmetry-distinct sites (fractional):
Ac: 0.0000 0.2500 0.8750 x12
Zn: 0.0000 0.2500 0.3750 x12
In: 0.0785 0.4215 0.5785 x16

Principal peaks in the range 10 to 80 degrees two-theta, sorted by position:
d [Å]	I/Imax	(hkl)
3.291	64	3 1 0
2.782	100	3 2 1
2.327	48	4 2 0
2.219	17	3 3 2
1.688	27	6 1 1
1.416	21	5 5 2